Computed powder diffractogram
Compound: Dy7Ho2Er4
Radiation: Cu Kα, 1.54184 Å
Structure: a structure optimized by DFT (GGA-PBE)

Structural model:
```
Dy7Ho2Er4
1.0
6.088 0.000 0.000
1.016 7.797 0.000
1.002 3.822 8.440
Dy Ho Er
7 2 4
direct
0.000 0.000 0.000
0.077 0.846 0.693
0.231 0.538 0.077
0.385 0.231 0.462
0.615 0.769 0.538
0.769 0.462 0.923
0.923 0.154 0.307
0.154 0.692 0.385
0.846 0.308 0.615
0.308 0.384 0.769
0.461 0.077 0.154
0.539 0.923 0.846
0.692 0.616 0.231
```

Main lines, sorted by position (5 to 70 degrees two-theta):
2θ 31.1, rel. 100.0
2θ 36.0, rel. 17.0
2θ 36.1, rel. 33.6
2θ 51.9, rel. 18.0
2θ 52.0, rel. 17.9
2θ 61.7, rel. 14.3
2θ 61.9, rel. 28.4
2θ 64.9, rel. 6.2
2θ 64.9, rel. 6.1

=====

Computed powder diffractogram
Compound: BaRe3Au
Radiation: Cu Kα, 1.54184 Å
Structure: a structure optimized by DFT (GGA-PBE)

Structural model:
```
BaRe3Au
1.0
4.994 0.000 0.000
0.000 4.994 0.000
0.000 0.000 4.994
Ba Re Au
1 3 1
direct
0.000 0.000 0.000
0.000 0.500 0.500
0.500 0.000 0.500
0.500 0.500 0.000
0.500 0.500 0.500
```

Main lines, sorted by position (5 to 70 degrees two-theta):
2θ 17.8, rel. 44.5
2θ 25.2, rel. 13.7
2θ 31.0, rel. 59.6
2θ 36.0, rel. 100.0
2θ 40.4, rel. 23.8
2θ 44.4, rel. 6.1
2θ 51.8, rel. 71.4
2θ 55.2, rel. 12.3
2θ 61.6, rel. 25.5
2θ 64.7, rel. 24.6

=====

Computed powder diffractogram
Compound: Tm2Al2CuNi5
Radiation: Cu Kα, 1.54184 Å
Structure: a structure optimized by DFT (GGA-PBE)

Structural model:
```
Tm2Al2CuNi5
1.0
9.653 0.000 0.000
0.000 9.653 0.000
0.000 0.000 3.192
Tm Al Cu Ni
4 4 2 10
direct
0.174 0.326 0.000
0.326 0.826 0.000
0.674 0.174 0.000
0.826 0.674 0.000
0.126 0.626 0.000
0.374 0.126 0.000
0.626 0.874 0.000
0.874 0.374 0.000
0.000 0.000 0.000
0.500 0.500 0.000
0.000 0.500 0.500
0.054 0.804 0.500
0.196 0.054 0.500
0.304 0.554 0.500
0.446 0.304 0.500
0.500 0.000 0.500
0.554 0.696 0.500
0.696 0.446 0.500
0.804 0.946 0.500
0.946 0.196 0.500
```

Main lines, sorted by position (5 to 70 degrees two-theta):
2θ 20.6, rel. 42.7
2θ 33.7, rel. 19.7
2θ 35.0, rel. 63.9
2θ 38.4, rel. 74.5
2θ 38.6, rel. 27.8
2θ 39.6, rel. 38.3
2θ 40.9, rel. 100.0
2θ 44.1, rel. 17.9
2θ 57.8, rel. 17.2
2θ 68.9, rel. 15.2

=====

Computed powder diffractogram
Compound: TlPBr3
Radiation: Cu Kα, 1.54184 Å
Structure: a structure optimized by DFT (GGA-PBE)

Structural model:
```
TlPBr3
1.0
6.191 0.000 0.000
0.093 6.275 0.000
1.328 1.009 10.470
Tl P Br
2 2 6
direct
0.000 0.000 0.000
0.481 0.503 0.015
0.682 0.196 0.419
0.797 0.305 0.596
0.023 0.131 0.325
0.456 0.371 0.690
0.495 0.998 0.108
0.622 0.534 0.333
0.857 0.968 0.682
0.986 0.505 0.906
```

Main lines, sorted by position (5 to 70 degrees two-theta):
2θ 8.4, rel. 100.0
2θ 20.3, rel. 55.7
2θ 25.5, rel. 36.5
2θ 28.6, rel. 26.7
2θ 29.1, rel. 29.3
2θ 30.1, rel. 28.1
2θ 30.6, rel. 27.6
2θ 31.4, rel. 26.8
2θ 31.9, rel. 28.3
2θ 32.5, rel. 22.1

=====

Computed powder diffractogram
Compound: Mn4Nb3W
Radiation: Cu Kα, 1.54184 Å
Structure: a structure optimized by DFT (GGA-PBE)

Structural model:
```
Mn4Nb3W
1.0
3.045 0.000 0.000
0.000 4.321 0.000
0.000 0.000 8.638
Mn Nb W
4 3 1
direct
0.000 0.000 0.000
0.000 0.000 0.500
0.000 0.500 0.243
0.000 0.500 0.757
0.500 0.000 0.248
0.500 0.000 0.752
0.500 0.500 0.500
0.500 0.500 0.000
```

Main lines, sorted by position (5 to 70 degrees two-theta):
2θ 10.2, rel. 8.0
2θ 20.6, rel. 3.0
2θ 23.0, rel. 2.5
2θ 29.3, rel. 16.3
2θ 41.9, rel. 100.0
2θ 51.9, rel. 4.8
2θ 60.6, rel. 10.7
2θ 60.8, rel. 5.3
2θ 68.7, rel. 4.3
2θ 68.9, rel. 2.1

=====

Computed powder diffractogram
Compound: AcGa2Ni4
Radiation: Cu Kα, 1.54184 Å
Structure: a structure optimized by DFT (GGA-PBE)

Structural model:
```
AcGa2Ni4
1.0
7.604 0.000 0.000
0.000 7.604 0.000
0.000 0.000 3.838
Ac Ga Ni
2 4 8
direct
0.000 0.000 0.000
0.500 0.500 0.500
0.225 0.225 0.500
0.275 0.725 0.000
0.725 0.275 0.000
0.775 0.775 0.500
0.083 0.645 0.500
0.145 0.417 0.000
0.355 0.917 0.500
0.417 0.145 0.000
0.583 0.855 0.000
0.645 0.083 0.500
0.855 0.583 0.000
0.917 0.355 0.500
```

Main lines, sorted by position (5 to 70 degrees two-theta):
2θ 26.0, rel. 30.0
2θ 33.3, rel. 31.0
2θ 35.3, rel. 100.0
2θ 37.4, rel. 43.4
2θ 41.0, rel. 18.3
2θ 44.5, rel. 35.6
2θ 47.4, rel. 22.0
2θ 55.3, rel. 19.8
2θ 61.9, rel. 19.9
2θ 66.1, rel. 25.5

=====

Computed powder diffractogram
Compound: Nd3SmYHo
Radiation: Cu Kα, 1.54184 Å
Structure: a structure optimized by DFT (GGA-PBE)

Structural model:
```
Nd3SmYHo
1.0
2.982 -5.701 0.000
2.982 5.701 0.000
0.000 0.000 11.924
Nd Sm Y Ho
6 2 2 2
direct
0.139 0.861 0.750
0.332 0.668 0.524
0.332 0.668 0.976
0.668 0.332 0.024
0.668 0.332 0.476
0.861 0.139 0.250
0.000 0.000 0.000
0.000 0.000 0.500
0.169 0.831 0.250
0.831 0.169 0.750
0.479 0.521 0.250
0.521 0.479 0.750
```

Main lines, sorted by position (5 to 70 degrees two-theta):
2θ 27.4, rel. 5.4
2θ 30.0, rel. 61.0
2θ 31.7, rel. 100.0
2θ 41.0, rel. 3.8
2θ 42.9, rel. 21.5
2θ 47.9, rel. 6.4
2θ 54.3, rel. 38.6
2θ 57.5, rel. 13.9
2θ 62.3, rel. 6.5
2θ 66.2, rel. 8.4

=====

Computed powder diffractogram
Compound: Cd2Ag4Cl9
Radiation: Cu Kα, 1.54184 Å
Structure: a structure optimized by DFT (GGA-PBE)

Structural model:
```
Cd2Ag4Cl9
1.0
6.776 0.000 0.000
3.388 5.919 0.000
0.019 1.288 18.525
Cd Ag Cl
4 8 18
direct
0.008 0.000 0.350
0.009 0.998 0.149
0.991 0.002 0.851
0.992 0.000 0.650
0.312 0.343 0.516
0.323 0.335 0.820
0.343 0.331 0.319
0.345 0.341 0.016
0.655 0.659 0.984
0.657 0.669 0.681
0.677 0.665 0.180
0.688 0.657 0.484
0.002 0.685 0.249
0.016 0.653 0.922
0.036 0.322 0.412
0.288 0.999 0.250
0.312 0.687 0.749
0.332 0.651 0.422
0.337 0.007 0.908
0.343 0.995 0.592
0.360 0.676 0.087
0.640 0.324 0.913
0.657 0.005 0.408
0.663 0.993 0.092
0.668 0.349 0.578
0.688 0.313 0.251
0.712 0.001 0.750
0.964 0.678 0.588
0.984 0.347 0.078
0.998 0.315 0.751
```

Main lines, sorted by position (5 to 70 degrees two-theta):
2θ 17.6, rel. 54.4
2θ 23.6, rel. 73.0
2θ 24.9, rel. 98.5
2θ 26.2, rel. 100.0
2θ 26.3, rel. 43.8
2θ 35.6, rel. 54.9
2θ 38.2, rel. 64.5
2θ 39.5, rel. 63.7
2θ 40.6, rel. 56.9
2θ 46.3, rel. 66.3

=====

Computed powder diffractogram
Compound: SmEr5Tl6
Radiation: Cu Kα, 1.54184 Å
Structure: a structure optimized by DFT (GGA-PBE)

Structural model:
```
SmEr5Tl6
1.0
4.618 -8.049 0.000
4.618 8.049 0.000
-3.092 0.000 4.373
Sm Er Tl
1 5 6
direct
0.000 0.000 0.000
0.165 0.835 0.500
0.333 0.667 0.000
0.500 0.500 0.500
0.667 0.333 0.000
0.835 0.165 0.500
0.085 0.422 0.253
0.257 0.257 0.757
0.422 0.085 0.253
0.578 0.915 0.747
0.743 0.743 0.243
0.915 0.578 0.747
```

Main lines, sorted by position (5 to 70 degrees two-theta):
2θ 23.5, rel. 1.2
2θ 23.6, rel. 0.6
2θ 33.5, rel. 100.0
2θ 33.6, rel. 49.6
2θ 48.0, rel. 18.4
2θ 48.3, rel. 9.0
2θ 59.8, rel. 28.8
2θ 59.9, rel. 23.8
2θ 60.1, rel. 4.7

=====

Computed powder diffractogram
Compound: Tb4PmCd3
Radiation: Cu Kα, 1.54184 Å
Structure: a structure optimized by DFT (GGA-PBE)

Structural model:
```
Tb4PmCd3
1.0
2.681 1.548 9.072
-2.681 1.548 9.072
0.000 -3.096 9.072
Tb Pm Cd
4 1 3
direct
0.114 0.114 0.114
0.370 0.370 0.370
0.630 0.630 0.630
0.886 0.886 0.886
0.500 0.500 0.500
0.000 0.000 0.000
0.241 0.241 0.241
0.759 0.759 0.759
```

Main lines, sorted by position (5 to 70 degrees two-theta):
2θ 30.0, rel. 9.2
2θ 32.6, rel. 91.6
2θ 33.4, rel. 100.0
2θ 45.2, rel. 3.9
2θ 47.4, rel. 32.1
2θ 57.7, rel. 10.8
2θ 59.2, rel. 32.7
2θ 59.7, rel. 18.5
2θ 61.7, rel. 9.3
2θ 68.4, rel. 6.5

=====

Computed powder diffractogram
Compound: Tl3F4
Radiation: Cu Kα, 1.54184 Å
Structure: a structure optimized by DFT (GGA-PBE)

Structural model:
```
Tl3F4
1.0
3.948 2.279 6.416
-3.948 2.279 6.416
0.000 -4.559 6.416
Tl F
6 8
direct
0.000 0.000 0.000
0.000 0.000 0.500
0.000 0.500 0.000
0.371 0.371 0.371
0.500 0.000 0.000
0.629 0.629 0.629
0.197 0.800 0.800
0.200 0.200 0.803
0.200 0.803 0.200
0.246 0.246 0.246
0.754 0.754 0.754
0.800 0.197 0.800
0.800 0.800 0.197
0.803 0.200 0.200
```

Main lines, sorted by position (5 to 70 degrees two-theta):
2θ 22.6, rel. 25.9
2θ 26.5, rel. 100.0
2θ 27.7, rel. 20.1
2θ 42.1, rel. 32.0
2θ 42.2, rel. 9.9
2θ 46.0, rel. 21.1
2θ 46.1, rel. 20.8
2θ 53.9, rel. 10.2
2θ 54.6, rel. 13.1
2θ 64.1, rel. 15.1

=====

Computed powder diffractogram
Compound: TaBeAs3
Radiation: Cu Kα, 1.54184 Å
Structure: a structure optimized by DFT (GGA-PBE)

Structural model:
```
TaBeAs3
1.0
4.435 0.000 0.000
0.000 4.435 0.000
0.000 0.000 4.435
Ta Be As
1 1 3
direct
0.000 0.000 0.000
0.500 0.500 0.500
0.000 0.500 0.500
0.500 0.000 0.500
0.500 0.500 0.000
```

Main lines, sorted by position (5 to 70 degrees two-theta):
2θ 20.0, rel. 15.6
2θ 28.5, rel. 18.0
2θ 35.0, rel. 100.0
2θ 40.7, rel. 52.6
2θ 45.7, rel. 8.1
2θ 50.4, rel. 7.7
2θ 58.9, rel. 35.2
2θ 62.9, rel. 4.0
2θ 66.7, rel. 3.4